(1)
For CrN2, a crystal structure in the Materials Project, relaxed with PBE gives the theoretical powder XRD pattern in this record (Cu Kα (λ = 1.5418 Å)).

Crystal structure
a b c (Å): 9.184 9.184 10.178
angles (deg): 90.00 90.00 90.00
Space group P4_12_12 (No. 92)
One atom of each set of equivalent atoms:
Cr  0.081  0.376  0.318
Cr  0.139  0.861  0.750
N  0.006  0.469  0.178
N  0.025  0.185  0.317
N  0.155  0.760  0.600

Principal peaks in the range 2θ = 15–90°, in order of falling intensity:
16.19°, I = 100.0, hkl 1 1 1; 32.71°, I = 24.3, hkl 2 2 2; 27.91°, I = 23.4, hkl 2 1 2; 32.05°, I = 23.4, hkl 3 1 1; 19.95°, I = 20.1, hkl 1 0 2; 34.28°, I = 14.6, hkl 2 1 3; 44.44°, I = 12.2, hkl 3 2 3; 21.64°, I = 12.1, hkl 2 1 0


(2)
For Ho2IrRh, a crystal structure in the Materials Project, relaxed with PBE gives the theoretical powder XRD pattern in this record (Cu Kα (λ = 1.5418 Å)).

Crystal structure
a b c (Å): 6.831 6.831 6.831
angles (deg): 90.00 90.00 90.00
Space group Fm-3m (No. 225)
One atom of each set of equivalent atoms:
Ho  0.250  0.250  0.250
Ir  0.000  0.000  0.000
Rh  0.000  0.000  0.500

Principal peaks in the range 2θ = 15–90°, in order of falling intensity:
37.23°, I = 100.0, hkl 2 2 0; 67.13°, I = 35.8, hkl 4 2 2; 53.67°, I = 17.5, hkl 4 0 0; 79.35°, I = 11.2, hkl 4 4 0; 22.55°, I = 4.1, hkl 1 1 1; 43.97°, I = 2.3, hkl 3 1 1; 58.94°, I = 1.0, hkl 3 3 1; 83.78°, I = 0.8, hkl 5 3 1


(3)
For Hf2Ag, a crystal structure in the Materials Project, relaxed with PBE gives the theoretical powder XRD pattern in this record (Cu Kα (λ = 1.5418 Å)).

Crystal structure
a b c (Å): 3.220 3.220 12.053
angles (deg): 90.00 90.00 90.00
Space group I4/mmm (No. 139)
One atom of each set of equivalent atoms:
Hf  0.000  0.000  0.166
Ag  0.000  0.000  0.500

Principal peaks in the range 2θ = 15–90°, in order of falling intensity:
35.74°, I = 100.0, hkl 1 0 3; 39.58°, I = 37.7, hkl 1 1 0; 69.32°, I = 28.7, hkl 2 1 3; 61.57°, I = 20.5, hkl 1 1 6; 45.14°, I = 13.0, hkl 0 0 6; 57.22°, I = 12.8, hkl 2 0 0; 75.71°, I = 11.3, hkl 2 0 6; 77.14°, I = 11.0, hkl 1 0 9


(4)
For Nd2MgSe4, a crystal structure in the Materials Project, relaxed with PBE gives the theoretical powder XRD pattern in this record (Cu Kα (λ = 1.5418 Å)).

Crystal structure
a b c (Å): 8.739 8.739 9.215
angles (deg): 90.00 90.00 90.00
Space group I-42d (No. 122)
One atom of each set of equivalent atoms:
Nd  0.129  0.250  0.125
Mg  0.000  0.000  0.500
Se  0.068  0.198  0.808

Principal peaks in the range 2θ = 15–90°, in order of falling intensity:
32.40°, I = 100.0, hkl 3 1 0; 37.23°, I = 85.6, hkl 2 1 3; 30.86°, I = 58.0, hkl 1 0 3; 32.23°, I = 50.2, hkl 3 0 1; 38.40°, I = 35.8, hkl 3 2 1; 47.80°, I = 28.1, hkl 3 2 3; 24.09°, I = 25.9, hkl 1 1 2; 20.32°, I = 24.4, hkl 2 0 0